# 1
Theoretical powder diffraction line list
Compound: La6ThMg2
Radiation: Cu Kα (λ = 1.5418 Å)
Structure: DFT lattice parameters and positions (PBE)
No peak broadening, texture or thermal motion is included.

Largest 8 diffraction maxima, most intense first, 2θ from 10° to 80°:
h k l	Position (°2θ)	I/Imax
2 0 1	30.36	1000
2 0 2	35.07	679
0 0 3	29.92	377
2 0 4	50.16	248
0 6 1	51.82	221
2 6 3	67.83	208
0 6 2	54.99	184
1 3 0	28.65	176

Atomic structure:
```
data_La6ThMg2
_chemical_formula_sum 'La12 Th2 Mg4'
_cell_length_a 6.236
_cell_length_b 10.793
_cell_length_c 8.959
_cell_angle_alpha 90.00
_cell_angle_beta 90.00
_cell_angle_gamma 90.00
_space_group_name_H-M_alt 'C 2 2 2'
_space_group_IT_number 21
_space_group_name_Hall 'C 2 2'
loop_
_atom_site_label
_atom_site_type_symbol
_atom_site_fract_x
_atom_site_fract_y
_atom_site_fract_z
La1 La 0.000 0.170 0.000
La2 La 0.234 0.417 0.664
Th1 Th 0.000 0.500 0.000
Mg1 Mg 0.250 0.250 0.330
```


# 2
Theoretical powder diffraction line list
Compound: RbNbGaO4
Radiation: Cu Kα (λ = 1.5418 Å)
Structure: DFT lattice parameters and positions (PBE)
No peak broadening, texture or thermal motion is included.

Largest 8 diffraction maxima, most intense first, 2θ from 10° to 80°:
h k l	Position (°2θ)	I/Imax
2 2 0	28.63	1000
1 1 1	17.42	528
4 2 2	50.72	395
4 4 0	59.28	179
6 2 0	67.14	167
3 1 1	33.71	130
3 3 1	44.80	120
4 0 0	40.94	105

Atomic structure:
```
data_RbNbGaO4
_chemical_formula_sum 'Rb4 Nb4 Ga4 O16'
_cell_length_a 8.818
_cell_length_b 8.818
_cell_length_c 8.818
_cell_angle_alpha 90.00
_cell_angle_beta 90.00
_cell_angle_gamma 90.00
_space_group_name_H-M_alt 'F -4 3 m'
_space_group_IT_number 216
_space_group_name_Hall 'F -4 2 3'
loop_
_atom_site_label
_atom_site_type_symbol
_atom_site_fract_x
_atom_site_fract_y
_atom_site_fract_z
Rb1 Rb 0.000 0.000 0.000
Nb1 Nb 0.250 0.250 0.750
Ga1 Ga 0.000 0.000 0.500
O1 O 0.127 0.127 0.627
```


# 3
Theoretical powder diffraction line list
Compound: MgZr3
Radiation: Cu Kα (λ = 1.5418 Å)
Structure: DFT lattice parameters and positions (PBE)
No peak broadening, texture or thermal motion is included.

Largest 8 diffraction maxima, most intense first, 2θ from 10° to 80°:
h k l	Position (°2θ)	I/Imax
2 0 1	37.03	1000
0 0 2	34.91	262
2 0 0	32.51	239
2 2 2	69.51	197
2 0 3	64.00	192
2 2 0	57.99	174
1 0 1	23.68	171
2 0 2	48.44	152

Atomic structure:
```
data_MgZr3
_chemical_formula_sum 'Mg2 Zr6'
_cell_length_a 6.3612
_cell_length_b 6.3612
_cell_length_c 5.1397
_cell_angle_alpha 90.00
_cell_angle_beta 90.00
_cell_angle_gamma 120.00
_space_group_name_H-M_alt 'P 63/m m c'
_space_group_IT_number 194
_space_group_name_Hall '-P 6c 2c'
loop_
_atom_site_label
_atom_site_type_symbol
_atom_site_fract_x
_atom_site_fract_y
_atom_site_fract_z
Mg1 Mg 0.3333 0.6667 0.2500
Zr1 Zr 0.1684 0.3369 0.7500
```


# 4
Theoretical powder diffraction line list
Compound: Tb2NpCuSe5
Radiation: Cu Kα (λ = 1.5418 Å)
Structure: DFT lattice parameters and positions (PBE)
No peak broadening, texture or thermal motion is included.

Largest 8 diffraction maxima, most intense first, 2θ from 10° to 80°:
h k l	Position (°2θ)	I/Imax
1 1 3	32.18	1000
1 5 2	37.02	790
0 6 1	31.02	459
2 0 0	45.45	270
0 2 3	24.52	231
2 6 1	56.05	172
0 0 6	45.68	146
0 4 5	43.00	142

Atomic structure:
```
data_Tb2NpCuSe5
_chemical_formula_sum 'Tb8 Np4 Cu4 Se20'
_cell_length_a 3.991
_cell_length_b 17.826
_cell_length_c 11.924
_cell_angle_alpha 90.00
_cell_angle_beta 90.00
_cell_angle_gamma 90.00
_space_group_name_H-M_alt 'C m c 21'
_space_group_IT_number 36
_space_group_name_Hall 'C 2c -2'
loop_
_atom_site_label
_atom_site_type_symbol
_atom_site_fract_x
_atom_site_fract_y
_atom_site_fract_z
Tb1 Tb 0.000 0.105 0.000
Tb2 Tb 0.000 0.119 0.623
Np1 Np 0.000 0.198 0.325
Cu1 Cu 0.000 0.435 0.770
Se1 Se 0.000 0.044 0.379
Se2 Se 0.000 0.292 0.997
Se3 Se 0.000 0.320 0.655
Se4 Se 0.000 0.361 0.317
Se5 Se 0.000 0.497 0.095
```


# 5
Theoretical powder diffraction line list
Compound: ZrNpO5
Radiation: Cu Kα (λ = 1.5418 Å)
Structure: DFT lattice parameters and positions (PBE)
No peak broadening, texture or thermal motion is included.

Largest 8 diffraction maxima, most intense first, 2θ from 10° to 80°:
h k l	Position (°2θ)	I/Imax
1 1 0	26.33	1000
0 0 2	21.67	886
1 1 2	34.35	642
1 1 4	52.13	581
0 2 0	26.59	567
0 1 1	17.08	463
0 2 2	34.55	377
1 3 0	46.78	269

Atomic structure:
```
data_ZrNpO5
_chemical_formula_sum 'Zr2 Np2 O10'
_cell_length_a 3.921
_cell_length_b 6.705
_cell_length_c 8.203
_cell_angle_alpha 90.00
_cell_angle_beta 90.00
_cell_angle_gamma 90.00
_space_group_name_H-M_alt 'I m m m'
_space_group_IT_number 71
_space_group_name_Hall '-I 2 2'
loop_
_atom_site_label
_atom_site_type_symbol
_atom_site_fract_x
_atom_site_fract_y
_atom_site_fract_z
Zr1 Zr 0.000 0.000 0.000
Np1 Np 0.000 0.000 0.500
O1 O 0.000 0.000 0.273
O2 O 0.000 0.315 0.000
O3 O 0.000 0.500 0.500
```


# 6
Theoretical powder diffraction line list
Compound: LaMg9Al3
Radiation: Cu Kα (λ = 1.5418 Å)
Structure: DFT lattice parameters and positions (PBE)
No peak broadening, texture or thermal motion is included.

Largest 8 diffraction maxima, most intense first, 2θ from 10° to 80°:
h k l	Position (°2θ)	I/Imax
0 4 2	35.63	1000
2 2 0	36.12	666
1 3 1	30.87	590
1 5 -1	35.86	522
1 1 -1	17.83	414
1 1 1	25.10	413
1 3 0	25.21	340
2 6 2	64.31	305

Atomic structure:
```
data_LaMg9Al3
_chemical_formula_sum 'La2 Mg18 Al6'
_cell_length_a 5.718
_cell_length_b 14.198
_cell_length_c 7.706
_cell_angle_alpha 90.00
_cell_angle_beta 111.77
_cell_angle_gamma 90.00
_space_group_name_H-M_alt 'C 1 2/m 1'
_space_group_IT_number 12
_space_group_name_Hall '-C 2y'
loop_
_atom_site_label
_atom_site_type_symbol
_atom_site_fract_x
_atom_site_fract_y
_atom_site_fract_z
La1 La 0.000 0.000 0.000
Mg1 Mg 0.000 0.000 0.500
Mg2 Mg 0.104 0.392 0.213
Mg3 Mg 0.178 0.177 0.350
Al1 Al 0.000 0.500 0.500
Al2 Al 0.250 0.250 0.000
```


# 7
Theoretical powder diffraction line list
Compound: Pm3CdGe3
Radiation: Cu Kα (λ = 1.5418 Å)
Structure: DFT lattice parameters and positions (PBE)
No peak broadening, texture or thermal motion is included.

Largest 8 diffraction maxima, most intense first, 2θ from 10° to 80°:
h k l	Position (°2θ)	I/Imax
3 0 0	34.96	1000
3 0 2	46.62	884
0 0 2	29.86	712
1 1 0	19.97	369
1 2 0	30.72	354
1 2 2	43.38	312
1 1 1	24.95	310
2 0 1	27.55	257

Atomic structure:
```
data_Pm3CdGe3
_chemical_formula_sum 'Pm6 Cd2 Ge6'
_cell_length_a 8.8912
_cell_length_b 8.8912
_cell_length_c 5.9844
_cell_angle_alpha 90.00
_cell_angle_beta 90.00
_cell_angle_gamma 120.00
_space_group_name_H-M_alt 'P 63/m'
_space_group_IT_number 176
_space_group_name_Hall '-P 6c'
loop_
_atom_site_label
_atom_site_type_symbol
_atom_site_fract_x
_atom_site_fract_y
_atom_site_fract_z
Pm1 Pm 0.0491 0.6920 0.2500
Cd1 Cd 0.3333 0.6667 0.7500
Ge1 Ge 0.0411 0.6883 0.7500
```


# 8
Theoretical powder diffraction line list
Compound: Na14TlBi
Radiation: Cu Kα (λ = 1.5418 Å)
Structure: DFT lattice parameters and positions (PBE)
No peak broadening, texture or thermal motion is included.

Largest 8 diffraction maxima, most intense first, 2θ from 10° to 80°:
h k l	Position (°2θ)	I/Imax
2 0 2	30.26	1000
1 1 1	19.10	693
1 1 0	16.67	471
2 2 0	33.71	389
1 1 2	25.07	367
4 2 2	58.16	302
2 0 1	25.46	285
3 1 1	39.03	238

Atomic structure:
```
data_Na14TlBi
_chemical_formula_sum 'Na14 Tl1 Bi1'
_cell_length_a 7.521
_cell_length_b 7.521
_cell_length_c 9.547
_cell_angle_alpha 90.00
_cell_angle_beta 90.00
_cell_angle_gamma 90.00
_space_group_name_H-M_alt 'P 4/m m m'
_space_group_IT_number 123
_space_group_name_Hall '-P 4 2'
loop_
_atom_site_label
_atom_site_type_symbol
_atom_site_fract_x
_atom_site_fract_y
_atom_site_fract_z
Na1 Na 0.000 0.000 0.000
Na2 Na 0.000 0.500 0.000
Na3 Na 0.000 0.500 0.500
Na4 Na 0.249 0.249 0.279
Na5 Na 0.500 0.500 0.000
Tl1 Tl 0.500 0.500 0.500
Bi1 Bi 0.000 0.000 0.500
```


# 9
Theoretical powder diffraction line list
Compound: Pm3MgCd
Radiation: Cu Kα (λ = 1.5418 Å)
Structure: DFT lattice parameters and positions (PBE)
No peak broadening, texture or thermal motion is included.

Largest 8 diffraction maxima, most intense first, 2θ from 10° to 80°:
h k l	Position (°2θ)	I/Imax
1 5 1	32.02	1000
2 0 0	33.36	478
3 5 1	58.78	348
2 0 2	47.89	172
2 10 0	56.21	164
1 1 1	23.82	128
2 10 2	66.96	97
0 10 0	43.87	85

Atomic structure:
```
data_Pm3MgCd
_chemical_formula_sum 'Pm12 Mg4 Cd4'
_cell_length_a 5.375
_cell_length_b 20.636
_cell_length_c 5.369
_cell_angle_alpha 90.00
_cell_angle_beta 90.00
_cell_angle_gamma 90.00
_space_group_name_H-M_alt 'C m c m'
_space_group_IT_number 63
_space_group_name_Hall '-C 2c 2'
loop_
_atom_site_label
_atom_site_type_symbol
_atom_site_fract_x
_atom_site_fract_y
_atom_site_fract_z
Pm1 Pm 0.000 0.059 0.250
Pm2 Pm 0.000 0.250 0.250
Pm3 Pm 0.000 0.438 0.250
Mg1 Mg 0.000 0.154 0.750
Cd1 Cd 0.000 0.344 0.750
```


# 10
Theoretical powder diffraction line list
Compound: AcThCu4Si2
Radiation: Cu Kα (λ = 1.5418 Å)
Structure: DFT lattice parameters and positions (PBE)
No peak broadening, texture or thermal motion is included.

Largest 8 diffraction maxima, most intense first, 2θ from 10° to 80°:
h k l	Position (°2θ)	I/Imax
1 1 2	36.19	1000
1 0 2	28.53	710
1 0 0	21.79	501
2 0 0	44.42	328
1 0 4	43.23	297
2 1 2	53.65	255
3 1 2	76.38	221
2 0 4	59.06	205

Atomic structure:
```
data_AcThCu4Si2
_chemical_formula_sum 'Ac1 Th1 Cu4 Si2'
_cell_length_a 4.079
_cell_length_b 4.079
_cell_length_c 9.752
_cell_angle_alpha 90.00
_cell_angle_beta 90.00
_cell_angle_gamma 90.00
_space_group_name_H-M_alt 'P 4/m m m'
_space_group_IT_number 123
_space_group_name_Hall '-P 4 2'
loop_
_atom_site_label
_atom_site_type_symbol
_atom_site_fract_x
_atom_site_fract_y
_atom_site_fract_z
Ac1 Ac 0.000 0.000 0.000
Th1 Th 0.000 0.000 0.500
Cu1 Cu 0.000 0.500 0.251
Si1 Si 0.500 0.500 0.372
```


# 11
Theoretical powder diffraction line list
Compound: U2Pb4S9
Radiation: Cu Kα (λ = 1.5418 Å)
Structure: DFT lattice parameters and positions (PBE)
No peak broadening, texture or thermal motion is included.

Largest 8 diffraction maxima, most intense first, 2θ from 10° to 80°:
h k l	Position (°2θ)	I/Imax
1 1 0	24.74	1000
1 0 4	23.53	860
1 1 6	37.82	716
2 1 4	42.84	414
3 0 0	43.56	403
0 2 4	34.41	400
0 1 2	17.01	364
2 1 10	62.78	240

Atomic structure:
```
data_U2Pb4S9
_chemical_formula_sum 'U4 Pb8 S18'
_cell_length_a 7.1966
_cell_length_b 7.1966
_cell_length_c 19.0194
_cell_angle_alpha 90.00
_cell_angle_beta 90.00
_cell_angle_gamma 120.00
_space_group_name_H-M_alt 'P -3'
_space_group_IT_number 147
_space_group_name_Hall '-P 3'
loop_
_atom_site_label
_atom_site_type_symbol
_atom_site_fract_x
_atom_site_fract_y
_atom_site_fract_z
U1 U 0.0000 0.0000 0.1537
U2 U 0.0000 0.0000 0.3461
Pb1 Pb 0.3333 0.6667 0.0229
Pb2 Pb 0.3333 0.6667 0.3194
Pb3 Pb 0.3333 0.6667 0.5229
Pb4 Pb 0.3333 0.6667 0.8194
S1 S 0.0004 0.2712 0.2499
S2 S 0.0348 0.7035 0.4132
S3 S 0.0359 0.3319 0.9133
```


# 12
Theoretical powder diffraction line list
Compound: Li4MgGa3
Radiation: Cu Kα (λ = 1.5418 Å)
Structure: DFT lattice parameters and positions (PBE)
No peak broadening, texture or thermal motion is included.

Largest 8 diffraction maxima, most intense first, 2θ from 10° to 80°:
h k l	Position (°2θ)	I/Imax
4 0 0	15.60	1000
0 0 1	18.92	922
5 1 -1	40.36	538
5 1 0	36.29	463
5 1 1	42.09	421
1 1 -1	35.97	397
10 0 0	39.67	280
6 0 0	23.49	273

Atomic structure:
```
data_Li4MgGa3
_chemical_formula_sum 'Li8 Mg2 Ga6'
_cell_length_a 22.813
_cell_length_b 2.952
_cell_length_c 4.710
_cell_angle_alpha 90.00
_cell_angle_beta 95.12
_cell_angle_gamma 90.00
_space_group_name_H-M_alt 'C 1 2/m 1'
_space_group_IT_number 12
_space_group_name_Hall '-C 2y'
loop_
_atom_site_label
_atom_site_type_symbol
_atom_site_fract_x
_atom_site_fract_y
_atom_site_fract_z
Li1 Li 0.104 0.000 0.035
Li2 Li 0.191 0.000 0.554
Mg1 Mg 0.000 0.000 0.500
Ga1 Ga 0.000 0.500 0.000
Ga2 Ga 0.204 0.500 0.064
```